Diffraction record for Al3Ag5. The powder XRD pattern is calculated, not measured: it uses a DFT-relaxed cell (PBE, Alexandria) and copper Kα.

Cell and atoms:
a = 4.151 Å, b = 4.151 Å, c = 15.854 Å
α = 90.00°, β = 90.00°, γ = 90.00°
Space group I4mm (No. 107)
Unique sites:
Al1 0.000 0.000 0.000
Al2 0.000 0.500 0.373
Ag1 0.000 0.000 0.254
Ag2 0.000 0.000 0.486
Ag3 0.000 0.000 0.753
Ag4 0.000 0.500 0.118

Main lines, sorted by position (10° ≤ 2θ ≤ 90°):
2theta  I/Imax  (hkl)
11.16  27  0 0 2
32.53  20  1 1 2
38.15  100  1 1 4
43.61  35  2 0 0
45.78  13  0 0 8
63.38  11  2 2 0
65.08  18  2 0 8
76.44  24  3 1 4
79.57  9  1 1 12
81.64  9  2 2 8